Simulated XRD peak list
Compound: BS4I
Radiation: a wavelength of 1.5418 Å
Structure: the GGA-PBE geometry in Alexandria

Crystal structure
```
BS4I
1.0
5.028 0.000 0.000
1.372 7.954 0.000
0.251 0.360 12.827
B S I
2 8 2
direct
0.125 0.370 0.199
0.875 0.630 0.801
0.041 0.519 0.710
0.173 0.019 0.136
0.306 0.256 0.099
0.463 0.866 0.209
0.537 0.134 0.791
0.694 0.744 0.901
0.827 0.981 0.864
0.959 0.481 0.290
0.413 0.905 0.400
0.587 0.095 0.600
```

Top 8 peaks for 10° ≤ 2θ ≤ 90°, low angle first:
- d = 7.951 Å, I 100
- d = 6.675 Å, I 30
- d = 4.925 Å, I 45
- d = 4.599 Å, I 52
- d = 4.566 Å, I 36
- d = 4.262 Å, I 39
- d = 3.769 Å, I 48
- d = 3.746 Å, I 50

Simulated XRD peak list
Compound: BSb2TeI
Radiation: a wavelength of 1.5418 Å
Structure: the GGA-PBE geometry in Alexandria

Crystal structure
```
BSb2TeI
1.0
5.132 0.000 0.000
0.000 5.132 0.000
0.000 0.000 4.753
B Sb Te I
1 2 1 1
direct
0.000 0.000 0.000
0.000 0.500 0.000
0.500 0.000 0.000
0.500 0.500 0.500
0.000 0.000 0.500
```

Top 8 peaks for 10° ≤ 2θ ≤ 90°, low angle first:
- d = 2.884 Å, I 100
- d = 2.566 Å, I 39
- d = 2.377 Å, I 16
- d = 1.815 Å, I 14
- d = 1.744 Å, I 24
- d = 1.536 Å, I 29
- d = 1.452 Å, I 12
- d = 1.442 Å, I 13

Simulated XRD peak list
Compound: Sc4BI5
Radiation: a wavelength of 1.5418 Å
Structure: the GGA-PBE geometry in Alexandria

Crystal structure
```
Sc4BI5
1.0
10.447 -1.930 0.000
10.447 1.930 0.000
-0.041 0.000 8.192
Sc B I
4 1 5
direct
0.000 0.000 0.188
0.000 0.000 0.812
0.390 0.390 0.999
0.610 0.610 0.001
0.500 0.500 0.000
0.145 0.145 0.253
0.145 0.145 0.751
0.500 0.500 0.500
0.855 0.855 0.249
0.855 0.855 0.747
```

Top 8 peaks for 10° ≤ 2θ ≤ 90°, low angle first:
- d = 5.223 Å, I 32
- d = 4.096 Å, I 24
- d = 3.482 Å, I 38
- d = 3.376 Å, I 54
- d = 2.784 Å, I 100
- d = 2.610 Å, I 30
- d = 2.049 Å, I 47
- d = 2.042 Å, I 30

Simulated XRD peak list
Compound: ScBI3
Radiation: a wavelength of 1.5418 Å
Structure: the GGA-PBE geometry in Alexandria

Crystal structure
```
ScBI3
1.0
5.146 0.000 0.000
0.000 5.146 0.000
0.000 0.000 5.146
Sc B I
1 1 3
direct
0.000 0.000 0.000
0.500 0.500 0.500
0.000 0.500 0.500
0.500 0.000 0.500
0.500 0.500 0.000
```

Top 8 peaks for 10° ≤ 2θ ≤ 90°, low angle first:
- d = 5.146 Å, I 14
- d = 2.971 Å, I 100
- d = 2.573 Å, I 54
- d = 1.819 Å, I 38
- d = 1.552 Å, I 42
- d = 1.486 Å, I 13
- d = 1.181 Å, I 17
- d = 1.151 Å, I 17

Simulated XRD peak list
Compound: Sr2SiBI
Radiation: a wavelength of 1.5418 Å
Structure: the GGA-PBE geometry in Alexandria

Crystal structure
```
Sr2SiBI
1.0
6.039 0.000 0.000
0.000 6.039 0.000
0.000 0.000 3.879
Sr Si B I
2 1 1 1
direct
0.000 0.500 0.000
0.500 0.000 0.000
0.000 0.000 0.000
0.000 0.000 0.500
0.500 0.500 0.500
```

Top 8 peaks for 10° ≤ 2θ ≤ 90°, low angle first:
- d = 6.039 Å, I 27
- d = 3.264 Å, I 38
- d = 3.019 Å, I 83
- d = 2.871 Å, I 100
- d = 2.216 Å, I 26
- d = 2.135 Å, I 31
- d = 1.713 Å, I 42
- d = 1.632 Å, I 26

Simulated XRD peak list
Compound: BTeI2
Radiation: a wavelength of 1.5418 Å
Structure: the GGA-PBE geometry in Alexandria

Crystal structure
```
BTeI2
1.0
5.670 0.000 0.000
-1.892 7.059 0.000
-0.272 -3.579 10.585
B Te I
2 2 4
direct
0.000 0.000 0.000
0.418 0.068 0.493
0.077 0.832 0.454
0.612 0.877 0.372
0.016 0.713 0.000
0.185 0.260 0.153
0.524 0.371 0.606
0.798 0.030 0.847
```

Top 8 peaks for 10° ≤ 2θ ≤ 90°, low angle first:
- d = 5.076 Å, I 89
- d = 5.000 Å, I 56
- d = 4.026 Å, I 56
- d = 3.889 Å, I 86
- d = 3.638 Å, I 60
- d = 3.623 Å, I 100
- d = 3.529 Å, I 73
- d = 2.369 Å, I 41

Simulated XRD peak list
Compound: Th2BI2
Radiation: a wavelength of 1.5418 Å
Structure: the GGA-PBE geometry in Alexandria

Crystal structure
```
Th2BI2
1.0
3.532 -2.039 0.000
3.532 2.039 0.000
-2.618 0.000 12.137
Th B I
2 1 2
direct
0.211 0.211 0.119
0.789 0.789 0.881
0.500 0.500 0.000
0.053 0.053 0.693
0.947 0.947 0.307
```

Top 8 peaks for 10° ≤ 2θ ≤ 90°, low angle first:
- d = 3.515 Å, I 65
- d = 2.951 Å, I 52
- d = 2.907 Å, I 100
- d = 2.805 Å, I 54
- d = 2.427 Å, I 27
- d = 2.105 Å, I 28
- d = 2.039 Å, I 61
- d = 1.678 Å, I 39

Simulated XRD peak list
Compound: ThBI
Radiation: a wavelength of 1.5418 Å
Structure: the GGA-PBE geometry in Alexandria

Crystal structure
```
ThBI
1.0
3.205 -1.848 0.000
3.205 1.848 0.000
-2.170 0.000 12.845
Th B I
2 2 2
direct
0.050 0.050 0.146
0.950 0.950 0.854
0.333 0.333 0.000
0.667 0.667 0.000
0.220 0.220 0.665
0.780 0.780 0.335
```

Top 8 peaks for 10° ≤ 2θ ≤ 90°, low angle first:
- d = 6.422 Å, I 40
- d = 3.211 Å, I 40
- d = 3.192 Å, I 100
- d = 3.039 Å, I 46
- d = 2.768 Å, I 78
- d = 2.463 Å, I 39
- d = 2.364 Å, I 96
- d = 1.849 Å, I 57

Simulated XRD peak list
Compound: Tm3BI3
Radiation: a wavelength of 1.5418 Å
Structure: the GGA-PBE geometry in Alexandria

Crystal structure
```
Tm3BI3
1.0
-5.816 5.816 5.816
5.816 -5.816 5.816
5.816 5.816 -5.816
Tm B I
12 4 12
direct
0.028 0.056 0.278
0.028 0.472 0.750
0.056 0.278 0.028
0.222 0.278 0.750
0.222 0.444 0.472
0.278 0.028 0.056
0.278 0.750 0.222
0.444 0.472 0.222
0.472 0.222 0.444
0.472 0.750 0.028
0.750 0.028 0.472
0.750 0.222 0.278
0.000 0.250 0.500
0.250 0.250 0.250
0.250 0.500 0.000
0.500 0.000 0.250
0.250 0.759 0.741
0.250 0.991 0.509
0.509 0.250 0.991
0.509 0.759 0.517
0.517 0.509 0.759
0.741 0.250 0.759
0.741 0.991 0.983
0.759 0.517 0.509
0.759 0.741 0.250
0.983 0.741 0.991
0.991 0.509 0.250
0.991 0.983 0.741
```

Top 8 peaks for 10° ≤ 2θ ≤ 90°, low angle first:
- d = 8.225 Å, I 16
- d = 3.109 Å, I 65
- d = 2.908 Å, I 100
- d = 2.480 Å, I 36
- d = 2.056 Å, I 61
- d = 1.679 Å, I 18
- d = 1.583 Å, I 29
- d = 1.477 Å, I 21

Simulated XRD peak list
Compound: Zr3BI3
Radiation: a wavelength of 1.5418 Å
Structure: the GGA-PBE geometry in Alexandria

Crystal structure
```
Zr3BI3
1.0
-5.603 5.603 5.603
5.603 -5.603 5.603
5.603 5.603 -5.603
Zr B I
12 4 12
direct
0.034 0.068 0.284
0.034 0.466 0.750
0.068 0.284 0.034
0.216 0.284 0.750
0.216 0.432 0.466
0.284 0.034 0.068
0.284 0.750 0.216
0.432 0.466 0.216
0.466 0.216 0.432
0.466 0.750 0.034
0.750 0.034 0.466
0.750 0.216 0.284
0.000 0.250 0.500
0.250 0.250 0.250
0.250 0.500 0.000
0.500 0.000 0.250
0.250 0.756 0.744
0.250 0.994 0.506
0.506 0.250 0.994
0.506 0.756 0.512
0.512 0.506 0.756
0.744 0.250 0.756
0.744 0.994 0.988
0.756 0.512 0.506
0.756 0.744 0.250
0.988 0.744 0.994
0.994 0.506 0.250
0.994 0.988 0.744
```

Top 8 peaks for 10° ≤ 2θ ≤ 90°, low angle first:
- d = 2.995 Å, I 60
- d = 2.801 Å, I 100
- d = 2.389 Å, I 29
- d = 1.981 Å, I 59
- d = 1.689 Å, I 15
- d = 1.617 Å, I 17
- d = 1.525 Å, I 21
- d = 1.253 Å, I 15

Simulated XRD peak list
Compound: InBIr3
Radiation: a wavelength of 1.5418 Å
Structure: the GGA-PBE geometry in Alexandria

Crystal structure
```
InBIr3
1.0
2.835 1.637 5.313
-2.835 1.637 5.313
0.000 -3.273 5.313
In B Ir
2 2 6
direct
0.102 0.102 0.102
0.898 0.898 0.898
0.329 0.329 0.329
0.671 0.671 0.671
0.098 0.584 0.584
0.416 0.416 0.902
0.416 0.902 0.416
0.584 0.098 0.584
0.584 0.584 0.098
0.902 0.416 0.416
```

Top 8 peaks for 10° ≤ 2θ ≤ 90°, low angle first:
- d = 2.657 Å, I 53
- d = 2.426 Å, I 100
- d = 2.346 Å, I 22
- d = 2.090 Å, I 40
- d = 1.945 Å, I 68
- d = 1.669 Å, I 19
- d = 1.417 Å, I 27
- d = 1.251 Å, I 31

Simulated XRD peak list
Compound: In5B4Ir9
Radiation: a wavelength of 1.5418 Å
Structure: the GGA-PBE geometry in Alexandria

Crystal structure
```
In5B4Ir9
1.0
5.649 0.000 0.000
-2.824 4.892 0.000
0.000 0.000 10.413
In B Ir
5 4 9
direct
0.000 0.000 0.000
0.000 0.000 0.346
0.000 0.000 0.654
0.333 0.667 0.500
0.667 0.333 0.500
0.333 0.667 0.146
0.333 0.667 0.854
0.667 0.333 0.146
0.667 0.333 0.854
0.000 0.478 0.274
0.000 0.478 0.726
0.000 0.480 0.000
0.478 0.000 0.274
0.478 0.000 0.726
0.480 0.000 0.000
0.520 0.520 0.000
0.522 0.522 0.274
0.522 0.522 0.726
```

Top 8 peaks for 10° ≤ 2θ ≤ 90°, low angle first:
- d = 4.892 Å, I 19
- d = 3.471 Å, I 31
- d = 2.603 Å, I 30
- d = 2.446 Å, I 100
- d = 2.298 Å, I 20
- d = 1.999 Å, I 72
- d = 1.783 Å, I 38
- d = 1.412 Å, I 24

Simulated XRD peak list
Compound: InB3Ir3
Radiation: a wavelength of 1.5418 Å
Structure: the GGA-PBE geometry in Alexandria

Crystal structure
```
InB3Ir3
1.0
5.887 0.000 0.000
0.000 5.887 0.000
0.000 0.000 5.887
In B Ir
2 6 6
direct
0.000 0.000 0.000
0.500 0.500 0.500
0.000 0.250 0.500
0.000 0.750 0.500
0.250 0.500 0.000
0.500 0.000 0.250
0.500 0.000 0.750
0.750 0.500 0.000
0.000 0.500 0.250
0.000 0.500 0.750
0.250 0.000 0.500
0.500 0.250 0.000
0.500 0.750 0.000
0.750 0.000 0.500
```

Top 8 peaks for 10° ≤ 2θ ≤ 90°, low angle first:
- d = 2.944 Å, I 26
- d = 2.633 Å, I 100
- d = 2.403 Å, I 59
- d = 1.633 Å, I 25
- d = 1.573 Å, I 31
- d = 1.472 Å, I 16
- d = 1.285 Å, I 22
- d = 1.093 Å, I 21